Calculated X-ray diffraction stick pattern of Tm3Ni2Te for Cu Kα, from a cell relaxed with GGA-PBE.
Neutral-atom scattering factors, no anomalous dispersion.

Top 12 peaks for 2θ from 5° to 70°, low angle first:
index, d (Å), 2θ/deg, Rel. int.
0 1 2, 3.433, 26.0, 23
1 1 1, 3.240, 27.5, 31
1 2 0, 3.017, 29.6, 22
0 3 1, 2.915, 30.7, 81
1 2 1, 2.792, 32.1, 78
1 0 2, 2.676, 33.5, 100
1 3 1, 2.335, 38.6, 91
0 4 1, 2.266, 39.8, 22
0 2 3, 2.181, 41.4, 44
2 0 0, 1.949, 46.6, 38
2 3 1, 1.620, 56.8, 29
2 2 3, 1.454, 64.1, 29

Cell and atoms:
a = 3.8985 Å, b = 9.5282 Å, c = 7.3609 Å
α = 90.00°, β = 90.00°, γ = 90.00°
Fractional positions:
Tm 0.0000 0.0745 0.0000
Tm 0.0000 0.9255 0.5000
Tm 0.5000 0.2132 0.3750
Tm 0.5000 0.3642 0.8005
Tm 0.5000 0.6358 0.3005
Tm 0.5000 0.7868 0.8750
Ni 0.0000 0.1939 0.6433
Ni 0.0000 0.8061 0.1433
Ni 0.5000 0.0582 0.7218
Ni 0.5000 0.9418 0.2218
Te 0.0000 0.4043 0.1344
Te 0.0000 0.5957 0.6344

Calculated X-ray diffraction stick pattern of Tm5NiTe2 for Cu Kα, from a cell relaxed with GGA-PBE.
Neutral-atom scattering factors, no anomalous dispersion.

Top 12 peaks for 2θ from 5° to 70°, low angle first:
index, d (Å), 2θ/deg, Rel. int.
1 2 1, 3.124, 28.6, 96
1 4 0, 3.022, 29.6, 82
2 1 1, 2.766, 32.4, 98
1 3 1, 2.754, 32.5, 91
3 1 0, 2.637, 34.0, 62
2 2 1, 2.596, 34.6, 100
1 5 1, 2.103, 43.0, 26
0 0 2, 1.983, 45.8, 48
0 6 1, 1.905, 47.7, 28
4 2 1, 1.735, 52.8, 27
1 4 2, 1.658, 55.4, 28
3 1 2, 1.585, 58.2, 27

Cell and atoms:
a = 8.0789 Å, b = 13.0325 Å, c = 3.9659 Å
α = 90.00°, β = 90.00°, γ = 90.00°
Fractional positions:
Tm 0.0000 0.0000 0.0000
Tm 0.1643 0.3201 0.0000
Tm 0.1668 0.5836 0.5000
Tm 0.3332 0.0836 0.5000
Tm 0.3357 0.8201 0.0000
Tm 0.5000 0.5000 0.0000
Tm 0.6643 0.1799 0.0000
Tm 0.6668 0.9164 0.5000
Tm 0.8332 0.4164 0.5000
Tm 0.8357 0.6799 0.0000
Ni 0.0000 0.5000 0.0000
Ni 0.5000 0.0000 0.0000
Te 0.0366 0.8175 0.5000
Te 0.4634 0.3175 0.5000
Te 0.5366 0.6825 0.5000
Te 0.9634 0.1825 0.5000

Calculated X-ray diffraction stick pattern of UNiTe for Cu Kα, from a cell relaxed with GGA-PBE.
Neutral-atom scattering factors, no anomalous dispersion.

Top 12 peaks for 2θ from 5° to 70°, low angle first:
index, d (Å), 2θ/deg, Rel. int.
0 1 0, 4.545, 19.5, 45
0 1 1, 3.118, 28.6, 56
1 1 1, 2.859, 31.3, 43
2 1 0, 2.814, 31.8, 80
2 0 1, 2.749, 32.6, 100
2 1 1, 2.352, 38.3, 72
0 2 0, 2.273, 39.7, 47
0 1 2, 1.938, 46.9, 45
2 0 2, 1.839, 49.6, 23
4 0 0, 1.792, 51.0, 23
2 2 1, 1.752, 52.2, 53
0 0 3, 1.429, 65.3, 33

Cell and atoms:
a = 7.1677 Å, b = 4.5454 Å, c = 4.2839 Å
α = 90.00°, β = 90.00°, γ = 90.00°
Fractional positions:
U 0.0000 0.0000 0.0000
U 0.5000 0.0000 0.0000
Ni 0.2500 0.0000 0.4318
Ni 0.7500 0.0000 0.5682
Te 0.2500 0.5000 0.6948
Te 0.7500 0.5000 0.3052

Copy entry 3 word for word.
Calculated X-ray diffraction stick pattern of UNiTe for Cu Kα, from a cell relaxed with GGA-PBE.
Neutral-atom scattering factors, no anomalous dispersion.

Top 12 peaks for 2θ from 5° to 70°, low angle first:
index, d (Å), 2θ/deg, Rel. int.
0 1 0, 4.545, 19.5, 45
0 1 1, 3.118, 28.6, 56
1 1 1, 2.859, 31.3, 43
2 1 0, 2.814, 31.8, 80
2 0 1, 2.749, 32.6, 100
2 1 1, 2.352, 38.3, 72
0 2 0, 2.273, 39.7, 47
0 1 2, 1.938, 46.9, 45
2 0 2, 1.839, 49.6, 23
4 0 0, 1.792, 51.0, 23
2 2 1, 1.752, 52.2, 53
0 0 3, 1.429, 65.3, 33

Cell and atoms:
a = 7.1677 Å, b = 4.5454 Å, c = 4.2839 Å
α = 90.00°, β = 90.00°, γ = 90.00°
Fractional positions:
U 0.0000 0.0000 0.0000
U 0.5000 0.0000 0.0000
Ni 0.2500 0.0000 0.4318
Ni 0.7500 0.0000 0.5682
Te 0.2500 0.5000 0.6948
Te 0.7500 0.5000 0.3052